Simulated PXRD pattern
Compound: FeAuO2
Radiation: λ = 1.5418 Å (Cu Kα)
Structure: DFT lattice parameters and positions (PBE+U)
Neutral-atom scattering factors, no anomalous dispersion.

Largest 10 diffraction maxima, low angle first, 10° ≤ 2θ ≤ 80°:
| 2theta | I (rel.) |
| --- | --- |
| 14.26 | 52 |
| 28.76 | 46 |
| 33.76 | 42 |
| 34.81 | 100 |
| 38.74 | 56 |
| 52.01 | 36 |
| 59.59 | 14 |
| 59.76 | 16 |
| 60.51 | 22 |
| 67.65 | 17 |

Structure:
```
data_FeAuO2
_cell_length_a 3.095
_cell_length_b 3.095
_cell_length_c 6.460
_cell_angle_alpha 103.80
_cell_angle_beta 103.80
_cell_angle_gamma 60.14
_space_group_name_H-M_alt 'P 1'
_space_group_IT_number 1
loop_
_space_group_symop_operation_xyz
'x,y,z'
loop_
_atom_site_label
_atom_site_type_symbol
_atom_site_fract_x
_atom_site_fract_y
_atom_site_fract_z
Fe1 Fe 0.000 0.000 0.000
Au1 Au 0.500 0.500 0.500
O1 O 0.388 0.388 0.163
O2 O 0.612 0.612 0.837
```